The following is a theoretical PXRD pattern of ZnAg2P2S6. It was derived from a PBE-relaxed structure, using Cu Kα, 1.54184 Å.

Peak list (12 most intense, 10 to 90 degrees two-theta, by intensity)
28.6°, 3.120 Å, I = 100.0
25.2°, 3.539 Å, I = 97.9
12.5°, 7.078 Å, I = 94.6
50.0°, 1.823 Å, I = 60.3
28.5°, 3.132 Å, I = 55.9
32.8°, 2.734 Å, I = 48.9
33.1°, 2.705 Å, I = 26.6
32.9°, 2.725 Å, I = 23.7
42.1°, 2.144 Å, I = 22.8
43.9°, 2.062 Å, I = 20.7
31.2°, 2.870 Å, I = 19.9
16.2°, 5.458 Å, I = 19.3

Structural model:
Cell lengths 6.315, 6.315, 28.424 Å; angles 92.56, 92.56, 119.95 degrees
Element x y z (fractional)
Zn 0.058 0.192 0.125
Zn 0.192 0.058 0.625
Zn 0.808 0.942 0.375
Zn 0.942 0.808 0.875
Ag 0.254 0.463 0.821
Ag 0.296 0.483 0.930
Ag 0.463 0.254 0.321
Ag 0.483 0.296 0.430
Ag 0.517 0.704 0.570
Ag 0.537 0.746 0.679
Ag 0.704 0.517 0.070
Ag 0.746 0.537 0.179
P 0.129 0.590 0.335
P 0.147 0.621 0.415
P 0.379 0.853 0.085
P 0.410 0.871 0.165
P 0.590 0.129 0.835
P 0.621 0.147 0.915
P 0.853 0.379 0.585
P 0.871 0.410 0.665
S 0.066 0.245 0.315
S 0.091 0.906 0.435
S 0.094 0.909 0.065
S 0.126 0.708 0.565
S 0.141 0.539 0.184
S 0.152 0.357 0.688
S 0.245 0.066 0.815
S 0.292 0.874 0.935
S 0.308 0.511 0.062
S 0.357 0.152 0.188
S 0.461 0.859 0.316
S 0.489 0.692 0.438
S 0.511 0.308 0.562
S 0.539 0.141 0.684
S 0.643 0.848 0.812
S 0.692 0.489 0.938
S 0.708 0.126 0.065
S 0.755 0.934 0.185
S 0.848 0.643 0.312
S 0.859 0.461 0.816
S 0.874 0.292 0.435
S 0.906 0.091 0.935
S 0.909 0.094 0.565
S 0.934 0.755 0.685

The following is a theoretical PXRD pattern of LaMnSiBi. It was derived from a PBE-relaxed structure, using Cu Kα, 1.54184 Å.

Peak list (12 most intense, 10 to 90 degrees two-theta, by intensity)
26.1°, 3.408 Å, I = 100.0
30.4°, 2.944 Å, I = 81.7
43.3°, 2.090 Å, I = 61.5
33.2°, 2.699 Å, I = 59.4
39.9°, 2.259 Å, I = 42.4
60.5°, 1.531 Å, I = 33.0
25.0°, 3.563 Å, I = 21.9
13.1°, 6.748 Å, I = 21.0
40.1°, 2.249 Å, I = 18.2
53.8°, 1.704 Å, I = 16.6
51.3°, 1.782 Å, I = 16.6
56.1°, 1.641 Å, I = 16.5

Structural model:
Cell lengths 4.180, 4.180, 20.244 Å; angles 90.00, 90.00, 120.00 degrees
Element x y z (fractional)
La 0.000 0.000 0.000
La 0.333 0.667 0.667
La 0.667 0.333 0.333
Mn 0.000 0.000 0.202
Mn 0.333 0.667 0.868
Mn 0.667 0.333 0.535
Si 0.000 0.000 0.581
Si 0.333 0.667 0.248
Si 0.667 0.333 0.915
Bi 0.000 0.000 0.450
Bi 0.333 0.667 0.117
Bi 0.667 0.333 0.783

The following is a theoretical PXRD pattern of NdSc2Cd5. It was derived from a PBE-relaxed structure, using Cu Kα, 1.54184 Å.

Peak list (12 most intense, 10 to 90 degrees two-theta, by intensity)
35.2°, 2.549 Å, I = 100.0
63.2°, 1.471 Å, I = 32.7
50.7°, 1.801 Å, I = 11.6
85.2°, 1.139 Å, I = 9.9
74.5°, 1.274 Å, I = 9.8
27.7°, 3.223 Å, I = 9.1
50.6°, 1.805 Å, I = 5.1
12.3°, 7.219 Å, I = 4.5
52.3°, 1.749 Å, I = 3.9
85.0°, 1.141 Å, I = 3.8
37.4°, 2.404 Å, I = 3.6
70.2°, 1.340 Å, I = 2.4

Structural model:
Cell lengths 5.093, 5.093, 14.438 Å; angles 90.00, 90.00, 90.00 degrees
Element x y z (fractional)
Nd 0.000 0.000 0.000
Nd 0.500 0.500 0.500
Sc 0.000 0.000 0.262
Sc 0.000 0.000 0.738
Sc 0.500 0.500 0.238
Sc 0.500 0.500 0.762
Cd 0.000 0.000 0.500
Cd 0.000 0.500 0.133
Cd 0.000 0.500 0.367
Cd 0.000 0.500 0.633
Cd 0.000 0.500 0.867
Cd 0.500 0.000 0.133
Cd 0.500 0.000 0.367
Cd 0.500 0.000 0.633
Cd 0.500 0.000 0.867
Cd 0.500 0.500 0.000

The following is a theoretical PXRD pattern of Sr2Al4GaHg3. It was derived from a PBE-relaxed structure, using Cu Kα, 1.54184 Å.

Peak list (12 most intense, 10 to 90 degrees two-theta, by intensity)
32.0°, 2.795 Å, I = 100.0
39.8°, 2.266 Å, I = 77.3
25.1°, 3.550 Å, I = 77.1
28.9°, 3.086 Å, I = 73.1
30.7°, 2.915 Å, I = 63.2
42.4°, 2.132 Å, I = 48.4
44.4°, 2.040 Å, I = 45.2
23.4°, 3.808 Å, I = 40.8
21.1°, 4.213 Å, I = 36.5
61.1°, 1.516 Å, I = 35.2
51.0°, 1.789 Å, I = 30.5
47.6°, 1.910 Å, I = 29.1

Structural model:
Cell lengths 4.532, 4.532, 11.424 Å; angles 90.00, 90.00, 90.00 degrees
Element x y z (fractional)
Sr 0.000 0.500 0.244
Sr 0.500 0.000 0.756
Al 0.000 0.000 0.500
Al 0.000 0.500 0.869
Al 0.500 0.000 0.131
Al 0.500 0.500 0.500
Ga 0.500 0.500 0.000
Hg 0.000 0.000 0.000
Hg 0.000 0.500 0.638
Hg 0.500 0.000 0.362

The following is a theoretical PXRD pattern of Tm3Sc4Pb4. It was derived from a PBE-relaxed structure, using Cu Kα, 1.54184 Å.

Peak list (12 most intense, 10 to 90 degrees two-theta, by intensity)
29.7°, 3.010 Å, I = 100.0
32.7°, 2.741 Å, I = 98.9
60.6°, 1.528 Å, I = 49.3
38.6°, 2.333 Å, I = 26.8
43.3°, 2.090 Å, I = 26.2
22.7°, 3.920 Å, I = 25.5
29.8°, 2.994 Å, I = 21.9
22.4°, 3.967 Å, I = 20.8
40.0°, 2.255 Å, I = 20.5
34.3°, 2.614 Å, I = 19.6
39.5°, 2.281 Å, I = 19.5
41.4°, 2.182 Å, I = 18.5

Structural model:
Cell lengths 9.362, 9.362, 9.362 Å; angles 154.20, 122.41, 64.13 degrees
Element x y z (fractional)
Tm 0.000 0.000 0.000
Tm 0.385 0.885 0.500
Tm 0.615 0.115 0.500
Sc 0.026 0.325 0.701
Sc 0.376 0.675 0.701
Sc 0.624 0.325 0.299
Sc 0.974 0.675 0.299
Pb 0.235 0.235 0.000
Pb 0.290 0.500 0.790
Pb 0.710 0.500 0.210
Pb 0.765 0.765 0.000

The following is a theoretical PXRD pattern of BaNi4Au. It was derived from a PBE-relaxed structure, using Cu Kα, 1.54184 Å.

Peak list (12 most intense, 10 to 90 degrees two-theta, by intensity)
40.8°, 2.210 Å, I = 100.0
34.6°, 2.592 Å, I = 63.9
66.3°, 1.411 Å, I = 30.9
62.0°, 1.496 Å, I = 23.8
73.0°, 1.296 Å, I = 22.3
21.0°, 4.232 Å, I = 16.5
42.7°, 2.116 Å, I = 15.6
87.2°, 1.118 Å, I = 11.2
83.4°, 1.159 Å, I = 10.8
88.5°, 1.105 Å, I = 5.1
54.6°, 1.682 Å, I = 4.3
77.0°, 1.239 Å, I = 3.8

Structural model:
Cell lengths 5.183, 5.183, 5.183 Å; angles 60.00, 60.00, 60.00 degrees
Element x y z (fractional)
Ba 0.000 0.000 0.000
Ni 0.129 0.624 0.624
Ni 0.624 0.129 0.624
Ni 0.624 0.624 0.129
Ni 0.624 0.624 0.624
Au 0.250 0.250 0.250

The following is a theoretical PXRD pattern of CeEr4Sc. It was derived from a PBE-relaxed structure, using Cu Kα, 1.54184 Å.

Peak list (12 most intense, 10 to 90 degrees two-theta, by intensity)
33.6°, 2.669 Å, I = 100.0
32.3°, 2.774 Å, I = 24.8
29.3°, 3.044 Å, I = 23.8
62.6°, 1.485 Å, I = 22.0
58.4°, 1.581 Å, I = 20.5
52.0°, 1.758 Å, I = 19.2
63.4°, 1.468 Å, I = 15.8
44.2°, 2.051 Å, I = 15.8
86.4°, 1.127 Å, I = 9.1
82.0°, 1.175 Å, I = 7.8
11.1°, 7.971 Å, I = 5.8
86.4°, 1.127 Å, I = 4.5

Structural model:
Cell lengths 12.178, 5.548, 10.545 Å; angles 90.00, 90.00, 90.00 degrees
Element x y z (fractional)
Ce 0.210 0.250 0.083
Ce 0.290 0.750 0.583
Ce 0.710 0.250 0.417
Ce 0.790 0.750 0.917
Er 0.042 0.750 0.746
Er 0.043 0.750 0.083
Er 0.205 0.250 0.420
Er 0.212 0.250 0.751
Er 0.288 0.750 0.251
Er 0.295 0.750 0.920
Er 0.457 0.250 0.583
Er 0.458 0.250 0.246
Er 0.542 0.750 0.754
Er 0.543 0.750 0.417
Er 0.705 0.250 0.080
Er 0.712 0.250 0.749
Er 0.788 0.750 0.249
Er 0.795 0.750 0.580
Er 0.957 0.250 0.917
Er 0.958 0.250 0.254
Sc 0.042 0.750 0.420
Sc 0.458 0.250 0.920
Sc 0.542 0.750 0.080
Sc 0.958 0.250 0.580

The following is a theoretical PXRD pattern of KAcTe4. It was derived from a PBE-relaxed structure, using Cu Kα, 1.54184 Å.

Peak list (12 most intense, 10 to 90 degrees two-theta, by intensity)
26.3°, 3.390 Å, I = 100.0
29.7°, 3.006 Å, I = 99.2
40.1°, 2.249 Å, I = 46.3
40.9°, 2.205 Å, I = 42.3
31.8°, 2.811 Å, I = 37.2
55.4°, 1.658 Å, I = 35.1
57.4°, 1.606 Å, I = 26.1
34.3°, 2.614 Å, I = 25.1
58.6°, 1.575 Å, I = 20.5
72.3°, 1.307 Å, I = 19.6
20.1°, 4.411 Å, I = 19.0
39.3°, 2.295 Å, I = 18.4

Structural model:
Cell lengths 7.113, 7.113, 9.179 Å; angles 90.00, 90.00, 90.00 degrees
Element x y z (fractional)
K 0.250 0.250 0.000
K 0.750 0.750 0.000
Ac 0.250 0.250 0.500
Ac 0.750 0.750 0.500
Te 0.109 0.609 0.276
Te 0.109 0.891 0.724
Te 0.391 0.609 0.724
Te 0.391 0.891 0.276
Te 0.609 0.109 0.724
Te 0.609 0.391 0.276
Te 0.891 0.109 0.276
Te 0.891 0.391 0.724

The following is a theoretical PXRD pattern of BaTlB12. It was derived from a PBE-relaxed structure, using Cu Kα, 1.54184 Å.

Peak list (12 most intense, 10 to 90 degrees two-theta, by intensity)
29.6°, 3.018 Å, I = 100.0
20.8°, 4.268 Å, I = 68.5
47.6°, 1.909 Å, I = 50.8
36.5°, 2.464 Å, I = 41.5
52.5°, 1.743 Å, I = 29.3
65.6°, 1.423 Å, I = 28.6
42.4°, 2.134 Å, I = 21.3
69.7°, 1.350 Å, I = 20.2
85.0°, 1.141 Å, I = 18.5
73.6°, 1.287 Å, I = 13.5
61.4°, 1.509 Å, I = 10.6
81.3°, 1.184 Å, I = 9.2

Structural model:
Cell lengths 6.036, 6.036, 6.036 Å; angles 60.00, 60.00, 60.00 degrees
Element x y z (fractional)
Ba 0.000 0.000 0.000
Tl 0.500 0.500 0.500
B 0.101 0.101 0.399
B 0.101 0.399 0.101
B 0.101 0.399 0.399
B 0.399 0.101 0.101
B 0.399 0.101 0.399
B 0.399 0.399 0.101
B 0.601 0.601 0.899
B 0.601 0.899 0.601
B 0.601 0.899 0.899
B 0.899 0.601 0.601
B 0.899 0.601 0.899
B 0.899 0.899 0.601

The following is a theoretical PXRD pattern of ErZrAg4. It was derived from a PBE-relaxed structure, using Cu Kα, 1.54184 Å.

Peak list (12 most intense, 10 to 90 degrees two-theta, by intensity)
38.5°, 2.337 Å, I = 100.0
34.8°, 2.576 Å, I = 66.9
64.9°, 1.436 Å, I = 40.9
50.1°, 1.821 Å, I = 23.2
72.0°, 1.311 Å, I = 14.6
82.6°, 1.168 Å, I = 10.2
84.0°, 1.152 Å, I = 10.1
86.2°, 1.128 Å, I = 9.5
73.5°, 1.288 Å, I = 7.1
60.8°, 1.523 Å, I = 6.1
31.4°, 2.848 Å, I = 3.1
24.4°, 3.643 Å, I = 1.6

Structural model:
Cell lengths 3.643, 3.643, 9.137 Å; angles 90.00, 90.00, 90.00 degrees
Element x y z (fractional)
Er 0.000 0.000 0.000
Zr 0.500 0.500 0.500
Ag 0.000 0.000 0.334
Ag 0.000 0.000 0.666
Ag 0.500 0.500 0.175
Ag 0.500 0.500 0.825

The following is a theoretical PXRD pattern of Dy3Y8. It was derived from a PBE-relaxed structure, using Cu Kα, 1.54184 Å.

Peak list (12 most intense, 10 to 90 degrees two-theta, by intensity)
30.4°, 2.941 Å, I = 100.0
28.7°, 3.107 Å, I = 92.7
35.0°, 2.565 Å, I = 52.6
63.3°, 1.470 Å, I = 50.8
24.3°, 3.670 Å, I = 41.2
31.5°, 2.838 Å, I = 40.7
43.2°, 2.095 Å, I = 32.9
36.8°, 2.444 Å, I = 27.6
31.8°, 2.817 Å, I = 26.6
34.7°, 2.582 Å, I = 26.0
45.9°, 1.978 Å, I = 25.3
39.6°, 2.274 Å, I = 23.1

Structural model:
Cell lengths 7.715, 7.715, 7.715 Å; angles 107.28, 107.28, 107.28 degrees
Element x y z (fractional)
Dy 0.000 0.500 0.500
Dy 0.500 0.000 0.500
Dy 0.500 0.500 0.000
Y 0.032 0.181 0.690
Y 0.181 0.690 0.032
Y 0.250 0.250 0.250
Y 0.310 0.968 0.819
Y 0.690 0.032 0.181
Y 0.750 0.750 0.750
Y 0.819 0.310 0.968
Y 0.968 0.819 0.310

The following is a theoretical PXRD pattern of Ac5Au2. It was derived from a PBE-relaxed structure, using Cu Kα, 1.54184 Å.

Peak list (12 most intense, 10 to 90 degrees two-theta, by intensity)
26.8°, 3.322 Å, I = 100.0
28.1°, 3.175 Å, I = 67.1
29.2°, 3.061 Å, I = 65.4
27.1°, 3.296 Å, I = 48.5
30.3°, 2.949 Å, I = 44.4
31.6°, 2.831 Å, I = 43.1
32.5°, 2.757 Å, I = 41.4
36.6°, 2.455 Å, I = 41.0
28.4°, 3.142 Å, I = 40.5
28.3°, 3.157 Å, I = 36.1
31.0°, 2.882 Å, I = 35.4
48.9°, 1.863 Å, I = 31.9

Structural model:
Cell lengths 10.085, 10.085, 7.827 Å; angles 96.20, 96.20, 42.31 degrees
Element x y z (fractional)
Ac 0.076 0.924 0.750
Ac 0.137 0.299 0.301
Ac 0.299 0.137 0.801
Ac 0.308 0.501 0.072
Ac 0.499 0.692 0.428
Ac 0.501 0.308 0.572
Ac 0.692 0.499 0.928
Ac 0.701 0.863 0.199
Ac 0.863 0.701 0.699
Ac 0.924 0.076 0.250
Au 0.077 0.703 0.422
Au 0.297 0.923 0.078
Au 0.703 0.077 0.922
Au 0.923 0.297 0.578

Question: What is the formula in the tenth record?
Answer: ErZrAg4